No. 1
Computed X-ray powder pattern
Compound: Zr5Re3
Radiation: Cu Kα (weighted mean of Kα1 and Kα2)
Structure: a DFT-relaxed cell (PBE, Alexandria)
Peak positions follow from Bragg's law for the DFT cell and can differ from measured ones.

Cell: 6.8636 9.5522 4.6628 Å, 90.00 90.00 90.00°
Space group Cmmm (No. 65)
Unique sites:
1 Zr 0.0000 0.0000 0.0000 [2 per cell]
2 Zr 0.2310 0.5000 0.5000 [4 per cell]
3 Zr 0.2500 0.2500 0.0000 [4 per cell]
4 Re 0.0000 0.2401 0.5000 [4 per cell]
5 Re 0.0000 0.5000 0.0000 [2 per cell]

The 10 most intense peaks (15° ≤ 2θ ≤ 90°), low angle first:
2θ 26.7, I = 7
2θ 37.6, I = 100
2θ 38.6, I = 19
2θ 53.4, I = 7
2θ 55.0, I = 13
2θ 67.2, I = 7
2θ 67.8, I = 7
2θ 67.9, I = 13
2θ 69.2, I = 13
2θ 80.3, I = 8

No. 2
Computed X-ray powder pattern
Compound: Pu5ZnTc4
Radiation: Cu Kα (weighted mean of Kα1 and Kα2)
Structure: a DFT-relaxed cell (PBE, Alexandria)
Peak positions follow from Bragg's law for the DFT cell and can differ from measured ones.

Cell: 3.2985 3.2985 18.2803 Å, 90.00 90.00 90.00°
Space group P4/mmm (No. 123)
Unique sites:
1 Pu 0.0000 0.0000 0.0000 [1 per cell]
2 Pu 0.0000 0.0000 0.1914 [2 per cell]
3 Pu 0.0000 0.0000 0.3835 [2 per cell]
4 Zn 0.5000 0.5000 0.5000 [1 per cell]
5 Tc 0.5000 0.5000 0.0956 [2 per cell]
6 Tc 0.5000 0.5000 0.2871 [2 per cell]

The 10 most intense peaks (15° ≤ 2θ ≤ 90°), low angle first:
2θ 24.3, I = 11
2θ 27.0, I = 22
2θ 36.7, I = 100
2θ 38.6, I = 49
2θ 40.3, I = 8
2θ 46.2, I = 9
2θ 55.7, I = 17
2θ 64.8, I = 13
2θ 68.6, I = 33
2θ 78.0, I = 8

No. 3
Computed X-ray powder pattern
Compound: Sc7As2C2
Radiation: Cu Kα (weighted mean of Kα1 and Kα2)
Structure: a DFT-relaxed cell (PBE, Alexandria)
Peak positions follow from Bragg's law for the DFT cell and can differ from measured ones.

Cell: 3.4327 12.7191 8.9364 Å, 90.00 90.00 90.00°
Space group Imm2 (No. 44)
Unique sites:
1 Sc 0.0000 0.0000 0.0000 [2 per cell]
2 Sc 0.0000 0.1329 0.3918 [4 per cell]
3 Sc 0.0000 0.3060 0.5990 [4 per cell]
4 Sc 0.0000 0.3570 0.2771 [4 per cell]
5 As 0.0000 0.0000 0.6413 [2 per cell]
6 As 0.0000 0.5000 0.7397 [2 per cell]
7 C 0.0000 0.2320 0.9099 [4 per cell]

The 10 most intense peaks (15° ≤ 2θ ≤ 90°), low angle first:
2θ 27.8, I = 38
2θ 31.3, I = 31
2θ 33.7, I = 62
2θ 34.6, I = 32
2θ 36.9, I = 81
2θ 39.3, I = 43
2θ 39.9, I = 100
2θ 40.1, I = 33
2θ 42.6, I = 48
2θ 66.6, I = 29

No. 4
Computed X-ray powder pattern
Compound: Tb3NdCo2
Radiation: Cu Kα (weighted mean of Kα1 and Kα2)
Structure: a DFT-relaxed cell (PBE, Alexandria)
Peak positions follow from Bragg's law for the DFT cell and can differ from measured ones.

Cell: 15.2817 5.0002 8.1570 Å, 90.00 113.13 90.00°
Space group C2/m (No. 12)
Unique sites:
1 Tb 0.0679 0.0000 0.2277 [4 per cell]
2 Tb 0.1344 0.5000 0.0072 [4 per cell]
3 Tb 0.1806 0.5000 0.4962 [4 per cell]
4 Nd 0.1283 0.0000 0.7143 [4 per cell]
5 Co 0.0051 0.5000 0.6467 [4 per cell]
6 Co 0.2227 0.0000 0.1310 [4 per cell]

The 10 most intense peaks (15° ≤ 2θ ≤ 90°), low angle first:
2θ 25.4, I = 20
2θ 28.4, I = 35
2θ 29.9, I = 60
2θ 31.1, I = 25
2θ 32.4, I = 91
2θ 34.4, I = 100
2θ 34.9, I = 22
2θ 35.9, I = 76
2θ 40.5, I = 23
2θ 48.2, I = 18

No. 5
Computed X-ray powder pattern
Compound: Nd6GeN4
Radiation: Cu Kα (weighted mean of Kα1 and Kα2)
Structure: a DFT-relaxed cell (PBE, Alexandria)
Peak positions follow from Bragg's law for the DFT cell and can differ from measured ones.

Cell: 3.7407 12.2959 19.2860 Å, 90.00 90.00 90.00°
Space group Cmcm (No. 63)
Unique sites:
1 Nd 0.0000 0.0000 0.0000 [4 per cell]
2 Nd 0.0000 0.1501 0.2500 [4 per cell]
3 Nd 0.0000 0.2776 0.5780 [8 per cell]
4 Nd 0.0000 0.4584 0.1492 [8 per cell]
5 Ge 0.0000 0.1647 0.7500 [4 per cell]
6 N 0.0000 0.0860 0.1223 [8 per cell]
7 N 0.0000 0.3611 0.0395 [8 per cell]

The 10 most intense peaks (15° ≤ 2θ ≤ 90°), low angle first:
2θ 28.5, I = 44
2θ 30.5, I = 29
2θ 31.1, I = 100
2θ 31.4, I = 100
2θ 32.7, I = 45
2θ 33.7, I = 94
2θ 35.4, I = 28
2θ 48.7, I = 30
2θ 50.3, I = 35
2θ 59.1, I = 39

No. 6
Computed X-ray powder pattern
Compound: Tb5PmSm2Mg
Radiation: Cu Kα (weighted mean of Kα1 and Kα2)
Structure: a DFT-relaxed cell (PBE, Alexandria)
Peak positions follow from Bragg's law for the DFT cell and can differ from measured ones.

Cell: 5.4720 20.1384 10.6113 Å, 90.00 90.00 90.00°
Space group Cmc2_1 (No. 36)
Unique sites:
1 Tb 0.0000 0.0003 0.0000 [4 per cell]
2 Tb 0.0000 0.1150 0.2505 [4 per cell]
3 Tb 0.0000 0.2102 0.5499 [4 per cell]
4 Tb 0.0000 0.2096 0.9509 [4 per cell]
5 Tb 0.0000 0.4861 0.2505 [4 per cell]
6 Pm 0.0000 0.2939 0.2505 [4 per cell]
7 Sm 0.0000 0.3852 0.5406 [4 per cell]
8 Sm 0.0000 0.3851 0.9606 [4 per cell]
9 Mg 0.0000 0.0944 0.7493 [4 per cell]

The 10 most intense peaks (15° ≤ 2θ ≤ 90°), low angle first:
2θ 27.9, I = 17
2θ 30.4, I = 39
2θ 32.3, I = 100
2θ 32.7, I = 32
2θ 33.8, I = 15
2θ 43.5, I = 11
2θ 47.8, I = 12
2θ 58.2, I = 19
2θ 59.3, I = 11
2θ 61.8, I = 12

No. 7
Computed X-ray powder pattern
Compound: NaSrZn
Radiation: Cu Kα (weighted mean of Kα1 and Kα2)
Structure: a DFT-relaxed cell (PBE, Alexandria)
Peak positions follow from Bragg's law for the DFT cell and can differ from measured ones.

Cell: 4.3601 20.6309 4.5199 Å, 90.00 90.00 90.00°
Space group Cmcm (No. 63)
Unique sites:
1 Na 0.0000 0.2036 0.2500 [4 per cell]
2 Sr 0.0000 0.4108 0.2500 [4 per cell]
3 Zn 0.0000 0.0332 0.2500 [4 per cell]

The 10 most intense peaks (15° ≤ 2θ ≤ 90°), low angle first:
2θ 28.8, I = 70
2θ 29.8, I = 91
2θ 31.3, I = 100
2θ 32.7, I = 43
2θ 36.0, I = 47
2θ 39.9, I = 34
2θ 40.3, I = 38
2θ 41.4, I = 30
2θ 50.6, I = 40
2θ 59.1, I = 24

No. 8
Computed X-ray powder pattern
Compound: TiCo3H
Radiation: Cu Kα (weighted mean of Kα1 and Kα2)
Structure: a DFT-relaxed cell (PBE, Alexandria)
Peak positions follow from Bragg's law for the DFT cell and can differ from measured ones.

Cell: 4.4845 5.1258 5.1413 Å, 60.40 74.16 74.09°
Space group P1 (No. 1)
Unique sites:
1 Ti 0.0000 0.0000 0.0000 [1 per cell]
2 Ti 0.4088 0.2683 0.2674 [1 per cell]
3 Co 0.4486 0.7629 0.7396 [1 per cell]
4 Co 0.4603 0.2736 0.7441 [1 per cell]
5 Co 0.4597 0.7531 0.2673 [1 per cell]
6 Co 0.9471 0.5165 0.9962 [1 per cell]
7 Co 0.9493 0.0028 0.5068 [1 per cell]
8 Co 0.9528 0.5212 0.4966 [1 per cell]
9 H 0.6606 0.8917 0.8818 [1 per cell]
10 H 0.7040 0.4057 0.8590 [1 per cell]

The 10 most intense peaks (15° ≤ 2θ ≤ 90°), low angle first:
2θ 42.5, I = 33
2θ 43.0, I = 100
2θ 49.6, I = 21
2θ 49.8, I = 21
2θ 50.4, I = 20
2θ 73.2, I = 11
2θ 73.3, I = 6
2θ 74.0, I = 6
2θ 88.7, I = 10
2θ 89.1, I = 6

No. 9
Computed X-ray powder pattern
Compound: NaB4Rh6
Radiation: Cu Kα (weighted mean of Kα1 and Kα2)
Structure: a DFT-relaxed cell (PBE, Alexandria)
Peak positions follow from Bragg's law for the DFT cell and can differ from measured ones.

Cell: 8.0246 8.0018 5.6300 Å, 90.00 134.41 90.00°
Space group Cm (No. 8)
Unique sites:
1 Na 0.0000 0.0000 0.0000 [2 per cell]
2 B 0.0754 0.3402 0.1424 [4 per cell]
3 B 0.1046 0.5000 0.8687 [2 per cell]
4 B 0.2734 0.0000 0.8435 [2 per cell]
5 Rh 0.0439 0.5000 0.4275 [2 per cell]
6 Rh 0.2518 0.2450 0.9987 [4 per cell]
7 Rh 0.2972 0.1753 0.5713 [4 per cell]
8 Rh 0.3946 0.5000 0.4286 [2 per cell]

The 10 most intense peaks (15° ≤ 2θ ≤ 90°), low angle first:
2θ 31.2, I = 36
2θ 31.5, I = 73
2θ 31.8, I = 35
2θ 37.0, I = 55
2θ 37.2, I = 53
2θ 37.3, I = 100
2θ 38.6, I = 98
2θ 39.1, I = 99
2θ 45.1, I = 38
2θ 51.0, I = 71

No. 10
Computed X-ray powder pattern
Compound: Pm3Si2Au
Radiation: Cu Kα (weighted mean of Kα1 and Kα2)
Structure: a DFT-relaxed cell (PBE, Alexandria)
Peak positions follow from Bragg's law for the DFT cell and can differ from measured ones.

Cell: 8.0380 8.0380 17.5062 Å, 90.00 90.00 120.00°
Space group R-3c (No. 167, hexagonal axes)
Unique sites:
1 Pm 0.0000 0.2948 0.2500 [18 per cell]
2 Si 0.0000 0.0000 0.1432 [12 per cell]
3 Au 0.0000 0.0000 0.0000 [6 per cell]

The 10 most intense peaks (15° ≤ 2θ ≤ 90°), low angle first:
2θ 16.3, I = 16
2θ 24.0, I = 22
2θ 26.9, I = 100
2θ 27.6, I = 29
2θ 35.6, I = 21
2θ 38.1, I = 60
2θ 38.8, I = 57
2θ 52.2, I = 16
2θ 55.5, I = 18
2θ 69.8, I = 15

No. 11
Computed X-ray powder pattern
Compound: Ba4TeI4
Radiation: Cu Kα (weighted mean of Kα1 and Kα2)
Structure: a DFT-relaxed cell (PBE, Alexandria)
Peak positions follow from Bragg's law for the DFT cell and can differ from measured ones.

Cell: 16.2088 4.9828 12.3570 Å, 90.00 120.37 90.00°
Space group C2/m (No. 12)
Unique sites:
1 Ba 0.0996 0.0000 0.4122 [4 per cell]
2 Ba 0.1969 0.5000 0.7901 [4 per cell]
3 Te 0.0000 0.5000 0.5000 [2 per cell]
4 I 0.1031 0.0000 0.8982 [4 per cell]
5 I 0.1873 0.5000 0.2868 [4 per cell]

The 10 most intense peaks (15° ≤ 2θ ≤ 90°), low angle first:
2θ 25.3, I = 100
2θ 25.6, I = 47
2θ 35.8, I = 39
2θ 36.0, I = 20
2θ 36.2, I = 19
2θ 36.9, I = 36
2θ 44.0, I = 10
2θ 44.8, I = 22
2θ 52.0, I = 14
2θ 58.6, I = 18

No. 12
Computed X-ray powder pattern
Compound: Er3Tm5Tl
Radiation: Cu Kα (weighted mean of Kα1 and Kα2)
Structure: a DFT-relaxed cell (PBE, Alexandria)
Peak positions follow from Bragg's law for the DFT cell and can differ from measured ones.

Cell: 11.8967 11.2000 10.0450 Å, 90.00 109.33 90.00°
Space group C2/m (No. 12)
Unique sites:
1 Er 0.0000 0.0000 0.0000 [2 per cell]
2 Er 0.9996 0.0000 0.3151 [4 per cell]
3 Er 0.0000 0.5000 0.5000 [2 per cell]
4 Er 0.0051 0.5000 0.1722 [4 per cell]
5 Tm 0.0000 0.2312 0.5000 [4 per cell]
6 Tm 0.1838 0.2402 0.2940 [8 per cell]
7 Tm 0.2368 0.0000 0.5577 [4 per cell]
8 Tm 0.2500 0.0000 0.9086 [4 per cell]
9 Tl 0.2310 0.5000 0.7690 [4 per cell]

The 10 most intense peaks (15° ≤ 2θ ≤ 90°), low angle first:
2θ 15.8, I = 70
2θ 31.4, I = 81
2θ 31.9, I = 98
2θ 32.0, I = 100
2θ 32.9, I = 79
2θ 34.2, I = 29
2θ 35.8, I = 50
2θ 39.0, I = 58
2θ 40.2, I = 46
2θ 45.8, I = 42